# 1
Computed X-ray diffraction stick pattern of Tl4Hg5H2 for Cu Kα (weighted mean of Kα1 and Kα2), from a DFT-relaxed cell (GGA-PBE, Alexandria).
Peak positions follow from Bragg's law for the DFT cell and can differ from measured ones.

Atomic structure:
```
data_Tl4Hg5H2
_chemical_formula_sum 'Tl4 Hg5 H2'
_symmetry_space_group_name_H-M 'P -1'
_symmetry_Int_Tables_number 2
_symmetry_space_group_name_Hall '-P 1'
_cell_length_a 3.436
_cell_length_b 9.084
_cell_length_c 9.503
_cell_angle_alpha 73.66
_cell_angle_beta 79.62
_cell_angle_gamma 89.92
loop_
_atom_site_label
_atom_site_fract_x
_atom_site_fract_y
_atom_site_fract_z
Tl1 0.016 0.314 0.478
Tl2 0.305 0.707 0.865
Hg1 0.157 0.958 0.165
Hg2 0.396 0.375 0.751
Hg3 0.500 0.000 0.500
H1 0.274 0.371 0.959
```

The 12 most intense peaks (15° ≤ 2θ ≤ 90°), by angle:
- 2θ = 28.70°, I 32
- 2θ = 29.94°, I 62
- 2θ = 30.30°, I 25
- 2θ = 30.81°, I 56
- 2θ = 33.15°, I 92
- 2θ = 33.96°, I 100
- 2θ = 35.13°, I 19
- 2θ = 36.49°, I 22
- 2θ = 39.01°, I 17
- 2θ = 52.04°, I 33
- 2θ = 53.32°, I 19
- 2θ = 57.01°, I 17

=====

# 2
Computed X-ray diffraction stick pattern of TlHg4H4 for Cu Kα (weighted mean of Kα1 and Kα2), from a DFT-relaxed cell (GGA-PBE, Alexandria).
Peak positions follow from Bragg's law for the DFT cell and can differ from measured ones.

Atomic structure:
```
data_TlHg4H4
_chemical_formula_sum 'Tl1 Hg4 H4'
_symmetry_space_group_name_H-M 'P 1 2/m 1'
_symmetry_Int_Tables_number 10
_symmetry_space_group_name_Hall '-P 2y'
_cell_length_a 5.990
_cell_length_b 3.784
_cell_length_c 7.312
_cell_angle_alpha 90.00
_cell_angle_beta 98.36
_cell_angle_gamma 90.00
loop_
_atom_site_label
_atom_site_fract_x
_atom_site_fract_y
_atom_site_fract_z
Tl1 0.000 0.000 0.000
Hg1 0.197 0.500 0.388
Hg2 0.381 0.500 0.802
H1 0.195 0.000 0.382
H2 0.376 0.000 0.804
```

The 12 most intense peaks (15° ≤ 2θ ≤ 90°), by angle:
- 2θ = 23.51°, I 68
- 2θ = 26.59°, I 40
- 2θ = 27.98°, I 33
- 2θ = 29.72°, I 36
- 2θ = 30.77°, I 100
- 2θ = 30.90°, I 98
- 2θ = 34.30°, I 32
- 2θ = 36.06°, I 31
- 2θ = 38.19°, I 56
- 2θ = 39.09°, I 37
- 2θ = 39.19°, I 36
- 2θ = 58.23°, I 67

=====

# 3
Computed X-ray diffraction stick pattern of Tl4Hg4H3 for Cu Kα (weighted mean of Kα1 and Kα2), from a DFT-relaxed cell (GGA-PBE, Alexandria).
Peak positions follow from Bragg's law for the DFT cell and can differ from measured ones.

Atomic structure:
```
data_Tl4Hg4H3
_chemical_formula_sum 'Tl8 Hg8 H6'
_symmetry_space_group_name_H-M 'C 1 2 1'
_symmetry_Int_Tables_number 5
_symmetry_space_group_name_Hall 'C 2y'
_cell_length_a 3.365
_cell_length_b 14.842
_cell_length_c 10.897
_cell_angle_alpha 90.00
_cell_angle_beta 95.33
_cell_angle_gamma 90.00
loop_
_atom_site_label
_atom_site_fract_x
_atom_site_fract_y
_atom_site_fract_z
Tl1 0.000 0.000 0.000
Tl2 0.000 0.014 0.500
Tl3 0.045 0.346 0.749
Hg1 0.000 0.731 0.500
Hg2 0.000 0.732 0.000
Hg3 0.247 0.618 0.757
H1 0.000 0.404 0.000
H2 0.033 0.915 0.641
```

The 12 most intense peaks (15° ≤ 2θ ≤ 90°), by angle:
- 2θ = 29.16°, I 100
- 2θ = 30.63°, I 29
- 2θ = 32.27°, I 34
- 2θ = 33.02°, I 38
- 2θ = 33.26°, I 24
- 2θ = 44.91°, I 14
- 2θ = 48.72°, I 11
- 2θ = 53.03°, I 8
- 2θ = 55.86°, I 8
- 2θ = 56.62°, I 15
- 2θ = 60.47°, I 12
- 2θ = 60.68°, I 13

=====

# 4
Computed X-ray diffraction stick pattern of TlHg5H2 for Cu Kα (weighted mean of Kα1 and Kα2), from a DFT-relaxed cell (GGA-PBE, Alexandria).
Peak positions follow from Bragg's law for the DFT cell and can differ from measured ones.

Atomic structure:
```
data_TlHg5H2
_chemical_formula_sum 'Tl2 Hg10 H4'
_symmetry_space_group_name_H-M 'I 4/m m m'
_symmetry_Int_Tables_number 139
_symmetry_space_group_name_Hall '-I 4 2'
_cell_length_a 4.545
_cell_length_b 4.545
_cell_length_c 17.036
_cell_angle_alpha 90.00
_cell_angle_beta 90.00
_cell_angle_gamma 90.00
loop_
_atom_site_label
_atom_site_fract_x
_atom_site_fract_y
_atom_site_fract_z
Tl1 0.000 0.000 0.000
Hg1 0.000 0.000 0.500
Hg2 0.000 0.500 0.163
H1 0.000 0.000 0.150
```

The 12 most intense peaks (15° ≤ 2θ ≤ 90°), by angle:
- 2θ = 27.76°, I 16
- 2θ = 29.71°, I 100
- 2θ = 31.51°, I 53
- 2θ = 34.98°, I 85
- 2θ = 39.66°, I 58
- 2θ = 51.50°, I 71
- 2θ = 57.34°, I 20
- 2θ = 61.62°, I 21
- 2θ = 65.90°, I 22
- 2θ = 66.90°, I 25
- 2θ = 68.95°, I 25
- 2θ = 89.13°, I 16